No. 1
Structure and simulated X-ray diffraction stick pattern of Rb (a crystal structure in the Materials Project, relaxed with GGA-PBE; λ = 1.5418 Å (Cu Kα)).

Atomic structure:
abc: 5.0772 5.0772 16.4715
angles: 90.00 90.00 120.00
Positions (direct):
Rb  0.0000  0.0000  0.0000
Rb  0.0000  0.0000  0.5000
Rb  0.3333  0.6667  0.2500
Rb  0.6667  0.3333  0.7500

The 10 most intense peaks (10 to 90 degrees two-theta), by angle:
2θ (°), I_rel
20.9, 41.6
21.6, 34.3
22.9, 100.0
26.0, 24.5
35.4, 28.7
38.7, 25.0
41.8, 35.5
42.6, 18.9
56.5, 16.2
57.6, 13.5



No. 2
Structure and simulated X-ray diffraction stick pattern of Rb (a crystal structure in the Materials Project, relaxed with GGA-PBE; λ = 1.5418 Å (Cu Kα)).

Atomic structure:
abc: 4.9050 4.9050 4.9050
angles: 106.98 106.98 114.57
Positions (direct):
Rb  0.0000  0.0000  0.0000

The 10 most intense peaks (10 to 90 degrees two-theta), by angle:
2θ (°), I_rel
21.5, 56.5
22.7, 100.0
30.6, 23.2
38.4, 49.4
40.4, 21.4
46.3, 14.4
49.4, 11.8
49.9, 11.4
59.7, 13.3
61.2, 12.4



No. 3
Structure and simulated X-ray diffraction stick pattern of Rb (a crystal structure in the Materials Project, relaxed with GGA-PBE; λ = 1.5418 Å (Cu Kα)).

Atomic structure:
abc: 15.1386 13.2760 8.0488
angles: 86.82 61.12 32.06
Positions (direct):
Rb  0.0420  0.0420  0.7080
Rb  0.2920  0.2920  0.9580
Rb  0.7080  0.7080  0.0420
Rb  0.9580  0.9580  0.2920

The 10 most intense peaks (10 to 90 degrees two-theta), by angle:
2θ (°), I_rel
13.4, 76.7
13.6, 35.6
19.4, 32.3
21.7, 100.0
23.2, 42.6
23.5, 82.3
27.3, 64.1
36.1, 33.7
36.5, 25.7
38.8, 27.3



No. 4
Structure and simulated X-ray diffraction stick pattern of Rb (a crystal structure in the Materials Project, relaxed with GGA-PBE; λ = 1.5418 Å (Cu Kα)).

Atomic structure:
abc: 15.0156 15.0156 15.0156
angles: 109.47 109.47 109.47
Positions (direct):
Rb  0.0000  0.0000  0.0000
Rb  0.0000  0.0000  0.3645
Rb  0.0000  0.3182  0.5975
Rb  0.0000  0.3645  0.0000
Rb  0.0000  0.5975  0.3182
Rb  0.0000  0.6266  0.8098
Rb  0.0000  0.8098  0.6266
Rb  0.1831  0.3734  0.3734
Rb  0.1902  0.1902  0.8169
Rb  0.1902  0.8169  0.1902
Rb  0.2793  0.6818  0.6818
Rb  0.3182  0.0000  0.5975
Rb  0.3182  0.5975  0.0000
Rb  0.3645  0.0000  0.0000
Rb  0.3734  0.1831  0.3734
Rb  0.3734  0.3734  0.1831
Rb  0.4025  0.4025  0.7207
Rb  0.4025  0.7207  0.4025
Rb  0.5975  0.0000  0.3182
Rb  0.5975  0.3182  0.0000
Rb  0.6266  0.0000  0.8098
Rb  0.6266  0.8098  0.0000
Rb  0.6355  0.6355  0.6355
Rb  0.6818  0.2793  0.6818
Rb  0.6818  0.6818  0.2793
Rb  0.7207  0.4025  0.4025
Rb  0.8098  0.0000  0.6266
Rb  0.8098  0.6266  0.0000
Rb  0.8169  0.1902  0.1902

The 10 most intense peaks (10 to 90 degrees two-theta), by angle:
2θ (°), I_rel
21.7, 100.0
24.1, 30.5
25.2, 11.0
26.2, 16.3
35.9, 7.0
36.6, 12.6
38.1, 34.3
41.0, 6.8
44.3, 11.4
57.8, 7.0



No. 5
Structure and simulated X-ray diffraction stick pattern of Rb (a crystal structure in the Materials Project, relaxed with GGA-PBE; λ = 1.5418 Å (Cu Kα)).

Atomic structure:
abc: 4.8880 4.8880 4.8880
angles: 109.47 109.47 109.47
Positions (direct):
Rb  0.0000  0.0000  0.0000

The 10 most intense peaks (10 to 90 degrees two-theta), by angle:
2θ (°), I_rel
22.3, 100.0
31.7, 20.3
39.1, 45.2
45.5, 14.5
51.2, 20.3
61.5, 23.4
70.8, 11.5
75.3, 6.5
79.7, 5.6
88.3, 13.4



No. 6
Structure and simulated X-ray diffraction stick pattern of Rb (a crystal structure in the Materials Project, relaxed with GGA-PBE; λ = 1.5418 Å (Cu Kα)).

Atomic structure:
abc: 12.5997 12.5997 12.5997
angles: 23.24 23.24 23.24
Positions (direct):
Rb  0.0000  0.0000  0.0000
Rb  0.2222  0.2222  0.2222
Rb  0.7778  0.7778  0.7778

The 10 most intense peaks (10 to 90 degrees two-theta), by angle:
2θ (°), I_rel
20.4, 35.7
21.8, 50.3
22.4, 100.0
23.6, 88.5
35.4, 42.9
37.8, 25.2
40.0, 21.6
41.9, 52.7
42.3, 18.3
58.0, 19.9



No. 7
Structure and simulated X-ray diffraction stick pattern of Rb (a crystal structure in the Materials Project, relaxed with GGA-PBE; λ = 1.5418 Å (Cu Kα)).

Atomic structure:
abc: 5.1084 5.1084 8.1845
angles: 90.00 90.00 121.25
Positions (direct):
Rb  0.1602  0.8398  0.7500
Rb  0.8398  0.1602  0.2500

The 10 most intense peaks (10 to 90 degrees two-theta), by angle:
2θ (°), I_rel
20.3, 27.2
21.7, 40.6
22.7, 59.4
23.1, 100.0
29.9, 20.7
35.1, 23.0
38.7, 14.5
38.9, 25.0
41.7, 28.2
42.9, 21.6



No. 8
Structure and simulated X-ray diffraction stick pattern of Rb (a crystal structure in the Materials Project, relaxed with GGA-PBE; λ = 1.5418 Å (Cu Kα)).

Atomic structure:
abc: 10.1203 10.1203 25.5059
angles: 90.00 90.00 109.84
Positions (direct):
Rb  0.0275  0.2933  0.0439
Rb  0.0395  0.8246  0.1066
Rb  0.0898  0.9102  0.7500
Rb  0.0934  0.4176  0.4112
Rb  0.1421  0.4291  0.7672
Rb  0.1754  0.9605  0.3934
Rb  0.2598  0.5155  0.1831
Rb  0.2933  0.0275  0.9561
Rb  0.3990  0.5874  0.5725
Rb  0.4126  0.6010  0.9275
Rb  0.4176  0.0934  0.5888
Rb  0.4291  0.1421  0.2328
Rb  0.4845  0.7402  0.3169
Rb  0.5155  0.2598  0.8169
Rb  0.5709  0.8579  0.7328
Rb  0.5824  0.9066  0.0888
Rb  0.5874  0.3990  0.4275
Rb  0.6010  0.4126  0.0725
Rb  0.7067  0.9725  0.4561
Rb  0.7402  0.4845  0.6831
Rb  0.8246  0.0395  0.8934
Rb  0.8579  0.5709  0.2672
Rb  0.9066  0.5824  0.9112
Rb  0.9102  0.0898  0.2500
Rb  0.9605  0.1754  0.6066
Rb  0.9725  0.7067  0.5439

The 10 most intense peaks (10 to 90 degrees two-theta), by angle:
2θ (°), I_rel
18.5, 12.3
19.7, 27.4
20.9, 10.9
21.4, 100.0
23.3, 12.6
23.9, 12.9
24.6, 25.3
25.0, 25.6
29.5, 12.3
40.0, 13.1



No. 9
Structure and simulated X-ray diffraction stick pattern of Rb (a crystal structure in the Materials Project, relaxed with GGA-PBE; λ = 1.5418 Å (Cu Kα)).

Atomic structure:
abc: 9.0048 9.0048 9.0048
angles: 90.00 90.00 90.00
Positions (direct):
Rb  0.0000  0.0000  0.0000
Rb  0.0000  0.2500  0.5000
Rb  0.0000  0.7500  0.5000
Rb  0.2500  0.5000  0.0000
Rb  0.5000  0.0000  0.2500
Rb  0.5000  0.0000  0.7500
Rb  0.5000  0.5000  0.5000
Rb  0.7500  0.5000  0.0000

The 10 most intense peaks (10 to 90 degrees two-theta), by angle:
2θ (°), I_rel
19.7, 32.7
22.1, 100.0
24.2, 79.8
36.0, 28.1
37.4, 50.3
40.1, 20.6
46.2, 27.1
54.9, 24.1
55.9, 15.2
63.7, 15.4



No. 10
Structure and simulated X-ray diffraction stick pattern of Rb (a crystal structure in the Materials Project, relaxed with GGA-PBE; λ = 1.5418 Å (Cu Kα)).

Atomic structure:
abc: 12.6034 12.6034 8.0067
angles: 105.35 105.35 36.24
Positions (direct):
Rb  0.0856  0.5368  0.3138
Rb  0.1724  0.6994  0.9408
Rb  0.3006  0.8276  0.5592
Rb  0.4632  0.9144  0.1862
Rb  0.5368  0.0856  0.8138
Rb  0.6994  0.1724  0.4408
Rb  0.8276  0.3006  0.0592
Rb  0.9144  0.4632  0.6862

The 10 most intense peaks (10 to 90 degrees two-theta), by angle:
2θ (°), I_rel
21.7, 75.1
22.2, 35.9
22.6, 100.0
31.1, 15.3
32.0, 26.7
38.2, 17.1
38.8, 15.4
39.2, 13.9
39.8, 28.3
44.2, 11.0



No. 11
Structure and simulated X-ray diffraction stick pattern of Rb (a crystal structure in the Materials Project, relaxed with GGA-PBE; λ = 1.5418 Å (Cu Kα)).

Atomic structure:
abc: 12.2991 12.2991 12.2991
angles: 90.00 90.00 90.00
Positions (direct):
Rb  0.0472  0.1250  0.7972
Rb  0.0628  0.9372  0.4372
Rb  0.1250  0.7972  0.0472
Rb  0.1872  0.1872  0.1872
Rb  0.2028  0.5472  0.3750
Rb  0.2972  0.4528  0.8750
Rb  0.3128  0.8128  0.6872
Rb  0.3750  0.2028  0.5472
Rb  0.4372  0.0628  0.9372
Rb  0.4528  0.8750  0.2972
Rb  0.5472  0.3750  0.2028
Rb  0.5628  0.5628  0.5628
Rb  0.6250  0.7028  0.9528
Rb  0.6872  0.3128  0.8128
Rb  0.7028  0.9528  0.6250
Rb  0.7972  0.0472  0.1250
Rb  0.8128  0.6872  0.3128
Rb  0.8750  0.2972  0.4528
Rb  0.9372  0.4372  0.0628
Rb  0.9528  0.6250  0.7028

The 10 most intense peaks (10 to 90 degrees two-theta), by angle:
2θ (°), I_rel
21.7, 100.0
22.9, 59.7
24.0, 27.4
27.1, 9.8
37.3, 37.6
39.5, 31.2
44.2, 12.2
57.6, 8.3
58.6, 9.8
59.1, 8.4



No. 12
Structure and simulated X-ray diffraction stick pattern of Rb (a crystal structure in the Materials Project, relaxed with GGA-PBE; λ = 1.5418 Å (Cu Kα)).

Atomic structure:
abc: 9.1311 9.1311 9.1311
angles: 149.80 149.80 43.24
Positions (direct):
Rb  0.3750  0.6250  0.7500
Rb  0.6250  0.3750  0.2500

The 10 most intense peaks (10 to 90 degrees two-theta), by angle:
2θ (°), I_rel
19.4, 100.0
20.9, 41.7
24.4, 57.2
28.5, 77.1
32.4, 27.5
37.8, 17.8
41.7, 40.2
42.8, 24.9
43.6, 23.6
45.5, 20.7